This entry pairs a crystal structure of SrAl4O7 with its theoretical PXRD pattern. Radiation: CuKα. Structure: the GGA-PBE geometry in the Materials Project.

Crystal structure
a b c (Å): 8.2036 8.2036 4.8409
angles (deg): 90.00 90.00 111.30
Sites, in units of the cell vectors:
Sr  0.0000  0.5000  0.0000
Sr  0.5000  0.0000  0.0000
Al  0.0000  0.0000  0.0000
Al  0.1307  0.8693  0.5564
Al  0.2500  0.2500  0.5000
Al  0.3693  0.6307  0.5564
Al  0.5000  0.5000  0.0000
Al  0.6307  0.3693  0.4436
Al  0.7500  0.7500  0.5000
Al  0.8693  0.1307  0.4436
O  0.0730  0.2123  0.2677
O  0.1165  0.8835  0.2016
O  0.2123  0.0730  0.7323
O  0.2500  0.7500  0.6784
O  0.2877  0.4270  0.7323
O  0.3835  0.6165  0.2016
O  0.4270  0.2877  0.2677
O  0.5730  0.7123  0.7323
O  0.6165  0.3835  0.7984
O  0.7123  0.5730  0.2677
O  0.7500  0.2500  0.3216
O  0.7877  0.9270  0.2677
O  0.8835  0.1165  0.7984
O  0.9270  0.7877  0.7323

Most intense lines, 2θ from 10° to 90°, by intensity:
- 29.79°, rel. 100
- 32.77°, rel. 38
- 22.58°, rel. 27
- 32.26°, rel. 25
- 44.29°, rel. 19
- 48.65°, rel. 18
- 39.97°, rel. 18
- 26.65°, rel. 18
- 38.91°, rel. 17
- 54.89°, rel. 14